This entry pairs a crystal structure of Sn2As2H22C7Cl2O4 with its theoretical X-ray powder pattern. Radiation: a wavelength of 1.5418 Å. Structure: a structure optimized by DFT (PBE).

Atomic structure:
a b c (Å): 7.8440 8.2652 8.2826
angles (deg): 88.09 72.72 80.54
Space group P1 (No. 1)
Unique sites:
1 Sn 0.0000 0.0000 0.0000 (multiplicity 1)
2 Sn 0.1570 0.6059 0.9365 (multiplicity 1)
3 As 0.3862 0.9365 0.7637 (multiplicity 1)
4 As 0.9105 0.5380 0.3634 (multiplicity 1)
5 H 0.1723 0.8638 0.4846 (multiplicity 1)
6 H 0.2449 0.8185 0.2535 (multiplicity 1)
7 H 0.2637 0.1633 0.4000 (multiplicity 1)
8 H 0.2857 0.1781 0.9933 (multiplicity 1)
9 H 0.3181 0.4138 0.2973 (multiplicity 1)
10 H 0.4228 0.8689 0.9302 (multiplicity 1)
11 H 0.4675 0.3820 0.8676 (multiplicity 1)
12 H 0.5088 0.5501 0.9742 (multiplicity 1)
13 H 0.5121 0.5643 0.7562 (multiplicity 1)
14 H 0.5701 0.3800 0.3102 (multiplicity 1)
15 H 0.5933 0.6914 0.5264 (multiplicity 1)
16 H 0.6301 0.9575 0.0851 (multiplicity 1)
17 H 0.6423 0.0954 0.5402 (multiplicity 1)
18 H 0.6581 0.1549 0.9745 (multiplicity 1)
19 H 0.6613 0.7521 0.3095 (multiplicity 1)
20 H 0.7725 0.6911 0.8156 (multiplicity 1)
21 H 0.7733 0.7807 0.8275 (multiplicity 1)
22 H 0.8654 0.4293 0.5222 (multiplicity 1)
23 H 0.9425 0.1100 0.6473 (multiplicity 1)
24 H 0.9511 0.1976 0.6248 (multiplicity 1)
25 H 0.9730 0.4415 0.7441 (multiplicity 1)
26 H 0.9793 0.6581 0.4601 (multiplicity 1)
27 C 0.2305 0.9065 0.3550 (multiplicity 1)
28 C 0.2407 0.1474 0.8843 (multiplicity 1)
29 C 0.2713 0.0535 0.3267 (multiplicity 1)
30 C 0.4475 0.5157 0.8806 (multiplicity 1)
31 C 0.6619 0.6489 0.3957 (multiplicity 1)
32 C 0.7213 0.0350 0.0072 (multiplicity 1)
33 C 0.9850 0.4248 0.8739 (multiplicity 1)
34 Cl 0.4545 0.5159 0.3387 (multiplicity 1)
35 Cl 0.7124 0.1369 0.3849 (multiplicity 1)
36 O 0.0310 0.7823 0.1167 (multiplicity 1)
37 O 0.1855 0.8340 0.7812 (multiplicity 1)
38 O 0.2082 0.2660 0.7821 (multiplicity 1)
39 O 0.8759 0.3615 0.9867 (multiplicity 1)

Main lines, most intense first (15° ≤ 2θ ≤ 90°):
22.49°, intensity 100.0
21.81°, intensity 91.6
34.73°, intensity 80.0
22.14°, intensity 76.5
30.08°, intensity 76.3
16.43°, intensity 67.5
28.53°, intensity 55.3
27.37°, intensity 54.9
32.99°, intensity 45.8
15.74°, intensity 41.9

=====

This entry pairs a crystal structure of Cr30As11C4 with its theoretical X-ray powder pattern. Radiation: a wavelength of 1.5418 Å. Structure: a structure optimized by DFT (PBE).

Atomic structure:
a b c (Å): 3.0010 56.1401 6.4917
angles (deg): 90.00 90.00 90.00
Space group Amm2 (No. 38)
Unique sites:
1 Cr 0.0000 0.0000 0.0000 (multiplicity 2)
2 Cr 0.0000 0.0288 0.5966 (multiplicity 4)
3 Cr 0.0000 0.0794 0.1106 (multiplicity 4)
4 Cr 0.0000 0.1020 0.4587 (multiplicity 4)
5 Cr 0.0000 0.1247 0.1118 (multiplicity 4)
6 Cr 0.0000 0.1777 0.6126 (multiplicity 4)
7 Cr 0.0000 0.2006 0.9581 (multiplicity 4)
8 Cr 0.0000 0.2233 0.6137 (multiplicity 4)
9 Cr 0.5000 0.0000 0.3356 (multiplicity 2)
10 Cr 0.5000 0.0423 0.9333 (multiplicity 4)
11 Cr 0.5000 0.0655 0.3985 (multiplicity 4)
12 Cr 0.5000 0.1014 0.8470 (multiplicity 4)
13 Cr 0.5000 0.1399 0.4195 (multiplicity 4)
14 Cr 0.5000 0.1629 0.9166 (multiplicity 4)
15 Cr 0.5000 0.2004 0.3470 (multiplicity 4)
16 Cr 0.5000 0.2384 0.9199 (multiplicity 4)
17 As 0.0000 0.0349 0.2302 (multiplicity 4)
18 As 0.0000 0.0691 0.7208 (multiplicity 4)
19 As 0.0000 0.1346 0.7279 (multiplicity 4)
20 As 0.0000 0.1677 0.2260 (multiplicity 4)
21 As 0.0000 0.2334 0.2283 (multiplicity 4)
22 As 0.5000 0.0000 0.7259 (multiplicity 2)
23 C 0.5000 0.1029 0.2339 (multiplicity 4)
24 C 0.5000 0.2004 0.7296 (multiplicity 4)

Main lines, most intense first (15° ≤ 2θ ≤ 90°):
40.97°, intensity 100.0
44.16°, intensity 48.7
42.58°, intensity 47.9
48.62°, intensity 40.2
52.81°, intensity 31.7
82.35°, intensity 15.9
77.97°, intensity 15.8
61.83°, intensity 15.2
85.55°, intensity 11.7
81.26°, intensity 9.7

=====

This entry pairs a crystal structure of CsAsH6C2Se2 with its theoretical X-ray powder pattern. Radiation: a wavelength of 1.5418 Å. Structure: a structure optimized by DFT (PBE).

Atomic structure:
a b c (Å): 9.9690 10.1936 9.8392
angles (deg): 90.00 115.57 90.00
Space group C2/c (No. 15)
Unique sites:
1 Cs 0.0000 0.1117 0.2500 (multiplicity 4)
2 As 0.0000 0.3234 0.7500 (multiplicity 4)
3 H 0.0704 0.4874 0.4374 (multiplicity 8)
4 H 0.2046 0.3818 0.0058 (multiplicity 8)
5 H 0.2047 0.4927 0.8615 (multiplicity 8)
6 C 0.1357 0.4416 0.9071 (multiplicity 8)
7 Se 0.1378 0.2054 0.6545 (multiplicity 8)

Main lines, most intense first (15° ≤ 2θ ≤ 90°):
20.04°, intensity 100.0
25.03°, intensity 82.2
31.30°, intensity 50.4
33.20°, intensity 43.8
18.93°, intensity 39.7
28.37°, intensity 36.3
19.75°, intensity 32.2
33.96°, intensity 28.2
54.45°, intensity 26.4
17.40°, intensity 25.6